(1)
CeGdGeRh: simulated X-ray powder pattern (Cu Kα, 1.54184 Å), based on the GGA-PBE geometry in Alexandria.

Structure:
Cell lengths 7.1118, 7.1118, 7.1118 Å; angles 90.00, 90.00, 90.00 degrees
Sites, in units of the cell vectors:
Ce: 0.0000 0.0000 0.0000
Ce: 0.0000 0.5000 0.5000
Ce: 0.5000 0.0000 0.5000
Ce: 0.5000 0.5000 0.0000
Gd: 0.0000 0.0000 0.5000
Gd: 0.0000 0.5000 0.0000
Gd: 0.5000 0.0000 0.0000
Gd: 0.5000 0.5000 0.5000
Ge: 0.2500 0.2500 0.2500
Ge: 0.2500 0.7500 0.7500
Ge: 0.7500 0.2500 0.7500
Ge: 0.7500 0.7500 0.2500
Rh: 0.2500 0.2500 0.7500
Rh: 0.2500 0.7500 0.2500
Rh: 0.7500 0.2500 0.2500
Rh: 0.7500 0.7500 0.7500

Largest 11 diffraction maxima, in order of falling intensity, 2θ = 10–90°:
2theta  d/Å  I (rel.)
35.71  2.514  100
64.15  1.452  36
51.39  1.778  18
86.56  1.124  16
75.64  1.257  11
25.04  3.556  7
58.00  1.590  3
44.11  2.053  2
81.14  1.185  1
21.64  4.106  1
42.14  2.144  1


(2)
LiCe2Gd: simulated X-ray powder pattern (Cu Kα, 1.54184 Å), based on the GGA-PBE geometry in Alexandria.

Structure:
Cell lengths 3.2881, 3.2881, 36.9781 Å; angles 90.00, 90.00, 120.00 degrees
Sites, in units of the cell vectors:
Li: 0.0000 0.0000 0.0000
Li: 0.3333 0.6667 0.6667
Li: 0.6667 0.3333 0.3333
Ce: 0.0000 0.0000 0.0869
Ce: 0.0000 0.0000 0.9131
Ce: 0.3333 0.6667 0.5797
Ce: 0.3333 0.6667 0.7536
Ce: 0.6667 0.3333 0.2464
Ce: 0.6667 0.3333 0.4203
Gd: 0.0000 0.0000 0.5000
Gd: 0.3333 0.6667 0.1667
Gd: 0.6667 0.3333 0.8333

Largest 12 diffraction maxima, in order of falling intensity, 2θ = 10–90°:
2theta  d/Å  I (rel.)
33.73  2.657  100
35.82  2.507  69
31.80  2.814  59
28.98  3.082  56
39.96  2.256  47
64.21  1.451  35
52.97  1.729  31
55.93  1.644  28
14.37  6.163  22
64.36  1.447  15
66.93  1.398  14
86.59  1.124  13


(3)
CePrNdGd: simulated X-ray powder pattern (Cu Kα, 1.54184 Å), based on the GGA-PBE geometry in Alexandria.

Structure:
Cell lengths 8.1794, 8.1794, 8.1794 Å; angles 90.00, 90.00, 90.00 degrees
Sites, in units of the cell vectors:
Ce: 0.0000 0.0000 0.0000
Ce: 0.0000 0.5000 0.5000
Ce: 0.5000 0.0000 0.5000
Ce: 0.5000 0.5000 0.0000
Pr: 0.2500 0.2500 0.7500
Pr: 0.2500 0.7500 0.2500
Pr: 0.7500 0.2500 0.2500
Pr: 0.7500 0.7500 0.7500
Nd: 0.0000 0.0000 0.5000
Nd: 0.0000 0.5000 0.0000
Nd: 0.5000 0.0000 0.0000
Nd: 0.5000 0.5000 0.5000
Gd: 0.2500 0.2500 0.2500
Gd: 0.2500 0.7500 0.7500
Gd: 0.7500 0.2500 0.7500
Gd: 0.7500 0.7500 0.2500

Largest 7 diffraction maxima, in order of falling intensity, 2θ = 10–90°:
2theta  d/Å  I (rel.)
30.92  2.892  100
55.00  1.670  39
89.71  1.093  21
44.30  2.045  19
73.18  1.293  17
64.44  1.446  12
81.54  1.181  4


(4)
CeGdNi4: simulated X-ray powder pattern (Cu Kα, 1.54184 Å), based on the GGA-PBE geometry in Alexandria.

Structure:
Cell lengths 5.0919, 5.0919, 5.0919 Å; angles 60.00, 60.00, 60.00 degrees
Sites, in units of the cell vectors:
Ce: 0.0000 0.0000 0.0000
Gd: 0.7500 0.7500 0.7500
Ni: 0.3750 0.3750 0.3750
Ni: 0.3750 0.3750 0.8751
Ni: 0.3750 0.8751 0.3750
Ni: 0.8751 0.3750 0.3750

Largest 11 diffraction maxima, in order of falling intensity, 2θ = 10–90°:
2theta  d/Å  I (rel.)
41.60  2.171  100
35.25  2.546  60
67.60  1.386  30
74.55  1.273  23
63.27  1.470  22
43.54  2.079  17
89.18  1.098  11
85.23  1.139  10
21.37  4.157  10
55.63  1.652  3
78.60  1.217  2


(5)
Ce4GdO9: simulated X-ray powder pattern (Cu Kα, 1.54184 Å), based on the GGA-PBE geometry in Alexandria.

Structure:
Cell lengths 10.3821, 10.3821, 10.3821 Å; angles 158.83, 37.77, 149.08 degrees
Sites, in units of the cell vectors:
Ce: 0.1064 0.0000 0.1064
Ce: 0.2925 0.9916 0.3009
Ce: 0.6908 0.9916 0.6991
Ce: 0.8936 0.0000 0.8936
Gd: 0.4409 0.9409 0.5000
O: 0.0402 0.2428 0.7974
O: 0.1346 0.7396 0.3950
O: 0.2227 0.2227 0.0000
O: 0.3447 0.7396 0.6050
O: 0.4454 0.2428 0.2026
O: 0.5479 0.7446 0.8033
O: 0.6623 0.2459 0.4165
O: 0.8294 0.2459 0.5835
O: 0.9413 0.7446 0.1967

Largest 12 diffraction maxima, in order of falling intensity, 2θ = 10–90°:
2theta  d/Å  I (rel.)
27.85  3.204  100
28.42  3.141  97
46.68  1.946  65
32.72  2.737  42
56.12  1.639  30
55.14  1.666  28
32.35  2.767  19
46.21  1.965  17
47.68  1.907  17
85.96  1.131  13
54.99  1.670  13
55.32  1.661  13


(6)
CePrGdPu: simulated X-ray powder pattern (Cu Kα, 1.54184 Å), based on the GGA-PBE geometry in Alexandria.

Structure:
Cell lengths 7.9868, 7.9868, 7.9868 Å; angles 90.00, 90.00, 90.00 degrees
Sites, in units of the cell vectors:
Ce: 0.0000 0.0000 0.0000
Ce: 0.0000 0.5000 0.5000
Ce: 0.5000 0.0000 0.5000
Ce: 0.5000 0.5000 0.0000
Pr: 0.2500 0.2500 0.2500
Pr: 0.2500 0.7500 0.7500
Pr: 0.7500 0.2500 0.7500
Pr: 0.7500 0.7500 0.2500
Gd: 0.2500 0.2500 0.7500
Gd: 0.2500 0.7500 0.2500
Gd: 0.7500 0.2500 0.2500
Gd: 0.7500 0.7500 0.7500
Pu: 0.0000 0.0000 0.5000
Pu: 0.0000 0.5000 0.0000
Pu: 0.5000 0.0000 0.0000
Pu: 0.5000 0.5000 0.5000

Largest 12 diffraction maxima, in order of falling intensity, 2θ = 10–90°:
2theta  d/Å  I (rel.)
31.69  2.824  100
56.44  1.630  39
45.42  1.997  19
75.25  1.263  17
66.19  1.412  12
83.94  1.153  4
19.25  4.611  4
37.34  2.408  3
22.26  3.993  1
49.76  1.832  1
69.65  1.350  1
60.21  1.537  1


(7)
CeGdTl4: simulated X-ray powder pattern (Cu Kα, 1.54184 Å), based on the GGA-PBE geometry in Alexandria.

Structure:
Cell lengths 6.2584, 6.2584, 6.2584 Å; angles 60.00, 60.00, 60.00 degrees
Sites, in units of the cell vectors:
Ce: 0.0000 0.0000 0.0000
Gd: 0.2500 0.2500 0.2500
Tl: 0.1250 0.6250 0.6250
Tl: 0.6250 0.1250 0.6250
Tl: 0.6250 0.6250 0.1250
Tl: 0.6250 0.6250 0.6250

Largest 12 diffraction maxima, in order of falling intensity, 2θ = 10–90°:
2theta  d/Å  I (rel.)
33.58  2.669  100
35.12  2.555  51
53.82  1.703  35
59.04  1.565  33
83.99  1.152  23
70.59  1.334  21
28.52  3.129  18
17.35  5.110  16
69.66  1.350  12
40.78  2.213  10
50.52  1.807  7
88.35  1.106  6


(8)
CeGdTm: simulated X-ray powder pattern (Cu Kα, 1.54184 Å), based on the GGA-PBE geometry in Alexandria.

Structure:
Cell lengths 3.5068, 3.5068, 8.5679 Å; angles 90.00, 90.00, 120.00 degrees
Sites, in units of the cell vectors:
Ce: 0.0000 0.0000 0.0000
Gd: 0.6667 0.3333 0.3304
Tm: 0.3333 0.6667 0.6726

Largest 12 diffraction maxima, in order of falling intensity, 2θ = 10–90°:
2theta  d/Å  I (rel.)
31.27  2.861  100
36.26  2.478  50
52.21  1.752  36
62.10  1.495  32
62.20  1.492  10
65.18  1.431  9
85.31  1.138  9
88.10  1.109  8
88.25  1.107  8
76.97  1.239  6
85.54  1.135  4
85.43  1.136  4